Record 1
For V2OF5, a crystal structure in the Materials Project, relaxed with PBE+U gives the simulated powder XRD pattern in this record (CuKα).
Lines closer than 0.1° are merged.

Structure:
```
16
Lattice="4.6322 0.0000 0.0000 -0.0238 4.9966 0.0000 -0.1380 -0.0144 8.4347" Properties=species:S:1:pos:R:3 pbc="T T T"
V 0.0000 0.0000 0.0000
V -0.0761 2.4989 4.2269
V 2.2859 2.5670 7.1772
V 2.3739 0.1026 2.9600
O 3.4553 4.1775 7.3603
O 3.5514 1.6882 3.1409
F 1.1112 3.2042 5.7422
F 1.2103 0.6914 1.4943
F 1.2256 3.4313 0.0678
F 1.1310 0.9031 7.2728
F 1.1813 0.9381 4.2898
F 1.1973 3.4224 3.0873
F 3.5047 4.1578 4.2948
F 3.5958 1.6824 0.0797
F 3.4995 1.8437 5.7911
F 3.5592 4.3603 1.5789
```

Most intense lines, 2θ = 10–80°, in order of rising 2θ:
- 20.66 deg, intensity 991
- 21.07 deg, intensity 665
- 28.20 deg, intensity 1000
- 28.38 deg, intensity 992
- 28.52 deg, intensity 599
- 28.86 deg, intensity 388
- 41.44 deg, intensity 393
- 54.11 deg, intensity 629

---

Record 2
For V2O3F3, a crystal structure in the Materials Project, relaxed with PBE+U gives the simulated powder XRD pattern in this record (CuKα).
Lines closer than 0.1° are merged.

Structure:
```
16
Lattice="5.1954 0.0000 0.0000 2.5752 4.5768 0.0000 2.5910 1.2665 8.7933" Properties=species:S:1:pos:R:3 pbc="T T T"
V 0.0000 0.0000 0.0000
V 2.2800 1.5456 2.2889
V 4.7821 3.0610 4.4019
V 7.6393 4.5561 6.6928
O 3.8685 4.0103 5.4585
O 1.2742 0.4315 1.0146
O 3.6062 2.5710 3.2894
O 5.9783 4.8801 7.6591
O 8.6117 5.4710 7.7025
O 6.1823 1.9084 3.2859
F 5.4506 4.5068 3.3045
F 4.5486 1.4260 5.4439
F 3.8814 1.1234 1.0524
F 6.4516 3.3357 5.4538
F 7.9362 2.8523 7.6763
F 7.1473 3.1030 1.0701
```

Most intense lines, 2θ = 10–80°, in order of rising 2θ:
- 23.34 deg, intensity 504
- 24.04 deg, intensity 1000
- 33.41 deg, intensity 109
- 33.99 deg, intensity 101
- 47.72 deg, intensity 129
- 49.15 deg, intensity 94
- 49.30 deg, intensity 99
- 54.69 deg, intensity 125

---

Record 3
For VOF2, a crystal structure in the Materials Project, relaxed with PBE+U gives the simulated powder XRD pattern in this record (CuKα).
Lines closer than 0.1° are merged.

Structure:
```
16
Lattice="5.2121 0.0000 0.0000 2.5743 4.5887 0.0000 2.4704 1.3911 8.9012" Properties=species:S:1:pos:R:3 pbc="T T T"
V 0.0000 0.0000 0.0000
V 2.4263 1.5089 2.1879
V 4.8595 3.0166 4.3598
V 7.7650 4.5595 6.6228
O 3.7968 4.1199 5.5578
O 1.2852 0.4033 1.0068
O 3.5793 2.6071 3.3281
O 8.5992 5.5043 7.7154
F 1.9461 3.0627 1.0609
F 6.0298 4.7802 7.6975
F 5.4921 4.5305 3.2906
F 4.5043 1.4020 5.5490
F 3.9411 1.1690 0.9933
F 6.4265 3.3688 5.5092
F 6.1170 1.8348 3.3574
F 7.9590 2.8984 7.6243
```

Most intense lines, 2θ = 10–80°, in order of rising 2θ:
- 23.35 deg, intensity 968
- 23.63 deg, intensity 965
- 24.00 deg, intensity 1000
- 33.41 deg, intensity 251
- 47.76 deg, intensity 231
- 48.34 deg, intensity 210
- 49.15 deg, intensity 191
- 54.57 deg, intensity 268

---

Record 4
For VOF3, a crystal structure in the Materials Project, relaxed with PBE+U gives the simulated powder XRD pattern in this record (CuKα).
Lines closer than 0.1° are merged.

Structure:
```
20
Lattice="5.4205 0.0000 0.0000 0.3331 5.5823 0.0000 0.0138 0.1099 9.5615" Properties=species:S:1:pos:R:3 pbc="T T T"
V 0.0000 0.0000 0.0000
V 0.6886 3.3575 4.9292
V 2.8268 2.8435 0.1069
V 3.1775 0.1754 4.7559
O 1.6667 4.6489 5.1916
O 1.5360 1.9207 0.3571
O 4.3842 4.3641 4.5473
O 4.8094 4.4274 9.3010
F 0.6912 3.1317 3.1739
F 0.7286 0.4381 7.9728
F 1.9618 4.5973 0.4687
F 1.8412 1.9688 5.1569
F 2.3576 0.3657 3.1983
F 2.7419 3.3866 7.9514
F 3.2170 0.3556 6.5141
F 3.5838 2.9965 1.7022
F 4.1258 1.5561 9.2038
F 4.4438 1.3905 4.4452
F 5.3037 2.9905 6.4675
F 5.2137 0.3683 1.7200
```

Most intense lines, 2θ = 10–80°, in order of rising 2θ:
- 18.56 deg, intensity 1000
- 24.01 deg, intensity 532
- 24.16 deg, intensity 508
- 25.31 deg, intensity 481
- 25.43 deg, intensity 467
- 32.07 deg, intensity 164
- 48.22 deg, intensity 156
- 53.86 deg, intensity 155

---

Record 5
For V6O11F, a crystal structure in the Materials Project, relaxed with PBE+U gives the simulated powder XRD pattern in this record (CuKα).
Lines closer than 0.1° are merged.

Structure:
```
18
Lattice="4.4456 -3.2029 0.0000 4.4456 3.2029 0.0000 -2.7924 0.0000 6.6705" Properties=species:S:1:pos:R:3 pbc="T T T"
V 0.0000 0.0000 0.0000
V -1.3007 0.0000 3.1673
V 2.0521 0.0000 2.1329
V 0.8532 0.0000 5.4666
V 5.4737 0.0000 1.0511
V 4.1823 0.0000 4.3188
O 0.6817 1.8882 5.4534
O 0.6332 0.0000 3.4862
O 3.0868 1.3025 3.2754
O 5.5760 1.9287 1.0898
O 3.6135 0.0000 0.8287
O 2.7356 0.0000 5.7210
O 0.6817 -1.8882 5.4534
O 3.0868 -1.3025 3.2754
O 5.5445 0.0000 3.0507
O 7.4425 0.0000 1.2836
O 5.5760 -1.9287 1.0898
F -1.2658 0.0000 5.2661
```

Most intense lines, 2θ = 10–80°, in order of rising 2θ:
- 27.18 deg, intensity 1000
- 27.86 deg, intensity 970
- 35.61 deg, intensity 540
- 35.71 deg, intensity 513
- 53.63 deg, intensity 306
- 53.83 deg, intensity 295
- 54.50 deg, intensity 563
- 68.84 deg, intensity 316

---

Record 6
For VOF2, a crystal structure in the Materials Project, relaxed with PBE+U gives the simulated powder XRD pattern in this record (CuKα).
Lines closer than 0.1° are merged.

Structure:
```
24
Lattice="5.1858 0.0000 0.0000 2.5387 4.5237 0.0000 0.2020 0.2409 13.4088" Properties=species:S:1:pos:R:3 pbc="T T T"
V 0.0000 0.0000 0.0000
V 2.6319 4.5662 6.6793
V 2.7696 1.6260 11.1684
V 2.8825 1.5141 4.4568
V 5.2419 3.1818 8.9287
V 5.2787 2.9826 2.2318
O 1.8517 0.6487 12.1719
O 3.9387 2.8677 9.9291
O 4.3063 2.0077 3.2132
O 3.8473 0.5408 5.4444
O 6.4152 4.2068 1.0109
O 6.9104 3.5876 7.6854
F 1.3335 2.0141 9.8775
F 1.7314 2.7706 3.2723
F 2.3763 3.3187 12.1155
F 1.2417 1.3065 5.4761
F 3.2764 3.1864 5.4394
F 4.3393 4.4089 7.6814
F 3.8184 3.3638 0.9382
F 2.2785 0.1206 3.2026
F 3.4009 0.2122 9.9416
F 4.4681 1.4821 12.1800
F 4.9103 1.7220 7.6577
F 5.8877 1.5535 1.0042
```

Most intense lines, 2θ = 10–80°, in order of rising 2θ:
- 23.53 deg, intensity 960
- 23.68 deg, intensity 954
- 24.15 deg, intensity 1000
- 39.76 deg, intensity 176
- 48.13 deg, intensity 216
- 48.46 deg, intensity 202
- 49.48 deg, intensity 169
- 53.72 deg, intensity 226

---

Record 7
For V4O7F5, a crystal structure in the Materials Project, relaxed with PBE+U gives the simulated powder XRD pattern in this record (CuKα).
Lines closer than 0.1° are merged.

Structure:
```
32
Lattice="5.2380 0.0000 0.0000 2.6100 4.6792 0.0000 2.4915 -1.3578 17.1066" Properties=species:S:1:pos:R:3 pbc="T T T"
V 0.0000 0.0000 0.0000
V 2.6456 1.7223 8.5330
V 2.4702 1.7704 2.2369
V 5.2627 3.3758 10.8589
V 5.1800 0.1974 12.9425
V 5.3594 3.2769 4.3690
V 7.9299 1.7455 15.0207
V 5.4876 0.1363 6.4686
O 4.0094 1.0841 14.1713
O 4.1759 4.1657 5.6310
O 3.0526 0.4645 9.5249
O 3.1100 3.4271 0.9726
O 2.3156 0.3682 3.1111
O 4.8949 1.9739 11.6575
O 3.6859 -0.5092 11.9640
O 8.1715 3.5429 13.8598
O 5.6687 1.9353 5.2954
O 7.4397 0.4885 15.9952
O 7.5798 3.5634 7.4454
O 8.9654 2.6759 16.3178
O 6.4513 2.7484 2.8009
O 6.4839 1.1049 7.7351
F 4.1932 2.8851 9.2366
F 1.6667 1.1767 0.6311
F 3.7700 2.5693 3.4241
F 6.3062 2.9490 15.6686
F 3.8198 1.3214 7.1163
F 6.6931 1.3614 13.5441
F 4.2261 -0.2487 4.9777
F 6.8189 2.6804 9.8730
F 4.3209 0.9787 1.3237
F 6.3441 -0.2763 11.3396
```

Most intense lines, 2θ = 10–80°, in order of rising 2θ:
- 23.71 deg, intensity 1000
- 23.93 deg, intensity 471
- 33.44 deg, intensity 141
- 48.43 deg, intensity 90
- 48.61 deg, intensity 107
- 48.99 deg, intensity 105
- 54.11 deg, intensity 95
- 54.50 deg, intensity 89

---

Record 8
For V4O7F5, a crystal structure in the Materials Project, relaxed with PBE+U gives the simulated powder XRD pattern in this record (CuKα).
Lines closer than 0.1° are merged.

Structure:
```
16
Lattice="5.2400 0.0000 0.0000 2.5387 4.6706 0.0000 2.4492 1.5465 8.6030" Properties=species:S:1:pos:R:3 pbc="T T T"
V 0.0000 0.0000 0.0000
V 2.1322 1.6273 2.1116
V 4.5869 3.0548 4.3723
V 7.2757 4.4451 6.5322
O 1.8822 2.9896 1.2269
O 0.8289 0.5685 1.5586
O 3.3932 3.8746 5.2202
O 3.7085 2.3042 3.1287
O 6.2520 5.2718 8.0102
O 5.9962 3.6673 5.8107
O 7.8171 2.9906 7.7238
F 5.2667 4.4766 3.3956
F 4.5611 1.4942 5.5250
F 3.4035 0.8201 0.9863
F 8.8792 5.4902 7.4341
F 6.4048 2.0714 3.6830
```

Most intense lines, 2θ = 10–80°, in order of rising 2θ:
- 23.54 deg, intensity 1000
- 24.15 deg, intensity 477
- 33.77 deg, intensity 109
- 34.19 deg, intensity 70
- 48.07 deg, intensity 108
- 48.25 deg, intensity 106
- 49.48 deg, intensity 91
- 55.20 deg, intensity 79